Entry 1:
This entry pairs a crystal structure of Hf2IrRu with its theoretical X-ray powder pattern. Radiation: Cu Ka. Structure: a cell relaxed with PBE.
Kinematic intensities with the Lorentz-polarization factor, no thermal factor.

Crystal structure
```
4
Lattice="4.5026 0.0000 0.0000 0.0000 4.5026 0.0000 0.0000 0.0000 3.4146" Properties=species:S:1:pos:R:3 pbc="T T T"
Hf 0.0000 2.2513 0.0000
Hf 2.2513 0.0000 0.0000
Ir 0.0000 0.0000 1.7073
Ru 2.2513 2.2513 1.7073
```

Top 10 peaks for 5° ≤ 2θ ≤ 70°, low angle first:
2θ 19.72, rel. 5
2θ 28.03, rel. 1
2θ 32.92, rel. 3
2θ 38.67, rel. 100
2θ 40.05, rel. 45
2θ 45.02, rel. 1
2θ 52.78, rel. 2
2θ 53.69, rel. 10
2θ 57.93, rel. 16
2θ 69.04, rel. 18


Entry 2:
This entry pairs a crystal structure of DyHo7Er12 with its theoretical X-ray powder pattern. Radiation: Cu Ka. Structure: a cell relaxed with PBE.
Kinematic intensities with the Lorentz-polarization factor, no thermal factor.

Crystal structure
```
20
Lattice="9.1697 5.2941 2.2071 -9.1697 5.2941 2.2071 0.0000 -10.5883 2.2071" Properties=species:S:1:pos:R:3 pbc="T T T"
Dy 0.0000 0.0000 0.0000
Ho -1.2718 -2.4931 1.4490
Ho -1.5232 2.3480 1.4490
Ho 2.7950 0.1451 1.4490
Ho 0.0000 0.0000 3.3106
Ho -2.7950 -0.1451 5.1722
Ho 1.5232 -2.3480 5.1723
Ho 1.2718 2.4931 5.1723
Er -3.9138 -0.0116 1.8832
Er -0.5663 -5.4082 2.6825
Er -4.9669 -2.2137 3.9388
Er -4.4005 3.1946 2.6825
Er 1.9669 -3.3836 1.8832
Er 1.9469 3.3952 1.8832
Er -1.9469 -3.3952 4.7380
Er -1.9669 3.3836 4.7380
Er 4.4005 -3.1946 3.9388
Er 4.9668 2.2137 2.6825
Er 0.5663 5.4082 3.9388
Er 3.9138 0.0116 4.7380
```

Top 10 peaks for 5° ≤ 2θ ≤ 70°, low angle first:
2θ 25.70, rel. 22
2θ 27.95, rel. 69
2θ 29.22, rel. 23
2θ 30.84, rel. 67
2θ 32.76, rel. 20
2θ 33.87, rel. 100
2θ 36.68, rel. 27
2θ 42.10, rel. 44
2θ 58.95, rel. 24
2θ 60.83, rel. 27


Entry 3:
This entry pairs a crystal structure of Nd4HgPbN with its theoretical X-ray powder pattern. Radiation: Cu Ka. Structure: a cell relaxed with PBE.
Kinematic intensities with the Lorentz-polarization factor, no thermal factor.

Crystal structure
```
14
Lattice="3.4984 -8.1254 0.0000 3.4984 8.1254 0.0000 0.0000 0.0000 6.9991" Properties=species:S:1:pos:R:3 pbc="T T T"
Nd 1.7492 4.0627 0.0000
Nd 1.7492 4.0627 3.4995
Nd 3.4984 6.8341 5.2493
Nd 3.4984 1.4367 5.2493
Nd 1.7492 -4.0627 0.0000
Nd 1.7492 -4.0627 3.4995
Nd 3.4984 -1.4367 1.7498
Nd 3.4984 -6.8341 1.7498
Hg 3.4984 6.2461 1.7498
Hg 3.4984 -6.2461 5.2493
Pb 3.4984 1.7764 1.7498
Pb 3.4984 -1.7764 5.2493
N 3.4984 4.0067 5.2493
N 3.4984 -4.0067 1.7498
```

Top 10 peaks for 5° ≤ 2θ ≤ 70°, low angle first:
2θ 25.46, rel. 28
2θ 27.76, rel. 59
2θ 32.97, rel. 15
2θ 33.07, rel. 24
2θ 33.81, rel. 100
2θ 36.31, rel. 63
2θ 49.91, rel. 40
2θ 52.29, rel. 23
2θ 63.27, rel. 17
2θ 63.73, rel. 33


Entry 4:
This entry pairs a crystal structure of La4Y2Th with its theoretical X-ray powder pattern. Radiation: Cu Ka. Structure: a cell relaxed with PBE.
Kinematic intensities with the Lorentz-polarization factor, no thermal factor.

Crystal structure
```
14
Lattice="-3.4757 5.8884 6.0878 3.4757 -5.8884 6.0878 3.4757 5.8884 -6.0878" Properties=species:S:1:pos:R:3 pbc="T T T"
La 0.0000 0.0109 1.9328
La 1.5196 2.9442 -0.1095
La 1.9562 -2.9442 5.9783
La 3.4757 0.0109 4.1550
La 0.0000 5.8775 1.9328
La 1.5196 8.8326 0.1095
La 1.9562 2.9442 6.1973
La 3.4757 5.8775 4.1550
Y 3.4757 0.0000 0.0000
Y 3.4757 2.9442 -2.6459
Y 0.0000 0.0000 6.0878
Y 0.0000 2.9442 8.7337
Th -1.7379 2.9442 3.0439
Th 1.7379 2.9442 3.0439
```

Top 10 peaks for 5° ≤ 2θ ≤ 70°, low angle first:
2θ 10.45, rel. 25
2θ 15.05, rel. 22
2θ 27.75, rel. 38
2θ 29.66, rel. 83
2θ 29.85, rel. 100
2θ 30.36, rel. 77
2θ 33.13, rel. 56
2θ 34.83, rel. 27
2θ 35.27, rel. 21
2θ 39.35, rel. 21